# 1
This entry pairs a crystal structure of Nd5AgOs2 with its calculated PXRD pattern. Radiation: Cu Kα, 1.54184 Å. Structure: a PBE-relaxed structure.
No peak broadening, texture or thermal motion is included.

Crystal structure
Unit cell a=8.8769 b=8.8769 c=8.8769 alpha=126.35 beta=126.35 gamma=79.32
Atoms (fractional coordinates):
Nd 0.0000 0.0000 0.0000
Nd 0.0256 0.5256 0.8168
Nd 0.2088 0.0256 0.5000
Nd 0.2912 0.7912 0.8168
Nd 0.4744 0.2912 0.5000
Nd 0.5000 0.5000 0.0000
Nd 0.5256 0.7088 0.5000
Nd 0.7088 0.2088 0.1832
Nd 0.7912 0.9744 0.5000
Nd 0.9744 0.4744 0.1832
Ag 0.2500 0.2500 0.0000
Ag 0.7500 0.7500 0.0000
Os 0.1403 0.3597 0.5000
Os 0.3597 0.8597 0.2194
Os 0.6403 0.1403 0.7806
Os 0.8597 0.6403 0.5000

Most intense lines, 2θ = 10–90°, low angle first:
12.95°, I = 30; 30.55°, I = 10; 31.77°, I = 100; 34.50°, I = 17; 35.43°, I = 55; 41.55°, I = 31; 51.10°, I = 10; 53.65°, I = 10; 65.95°, I = 22; 66.06°, I = 17

# 2
This entry pairs a crystal structure of Nd7Ag2Os2 with its calculated PXRD pattern. Radiation: Cu Kα, 1.54184 Å. Structure: a PBE-relaxed structure.
No peak broadening, texture or thermal motion is included.

Crystal structure
Unit cell a=6.9683 b=6.9683 c=7.2038 alpha=90.00 beta=90.00 gamma=107.61
Atoms (fractional coordinates):
Nd 0.0000 0.0000 0.0000
Nd 0.0000 0.5000 0.2552
Nd 0.0000 0.5000 0.7448
Nd 0.5000 0.0000 0.2552
Nd 0.5000 0.0000 0.7448
Nd 0.5000 0.5000 0.2459
Nd 0.5000 0.5000 0.7541
Ag 0.1722 0.1722 0.5000
Ag 0.8278 0.8278 0.5000
Os 0.2942 0.7058 0.0000
Os 0.7058 0.2942 0.0000

Most intense lines, 2θ = 10–90°, low angle first:
12.29°, I = 20; 20.03°, I = 24; 24.92°, I = 46; 26.85°, I = 28; 28.18°, I = 29; 31.83°, I = 54; 33.05°, I = 23; 36.27°, I = 51; 36.81°, I = 100; 42.73°, I = 20

# 3
This entry pairs a crystal structure of Nd8AgPb2 with its calculated PXRD pattern. Radiation: Cu Kα, 1.54184 Å. Structure: a PBE-relaxed structure.
No peak broadening, texture or thermal motion is included.

Crystal structure
Unit cell a=10.3261 b=10.3261 c=7.0142 alpha=104.51 beta=104.51 gamma=29.54
Atoms (fractional coordinates):
Nd 0.0147 0.0147 0.2739
Nd 0.2130 0.2130 0.8221
Nd 0.3473 0.3473 0.5000
Nd 0.4083 0.4083 0.0224
Nd 0.5917 0.5917 0.9776
Nd 0.6527 0.6527 0.5000
Nd 0.7870 0.7870 0.1779
Nd 0.9853 0.9853 0.7261
Ag 0.5000 0.5000 0.5000
Pb 0.1803 0.1803 0.2576
Pb 0.8197 0.8197 0.7424

Most intense lines, 2θ = 10–90°, low angle first:
27.34°, I = 17; 27.75°, I = 18; 28.69°, I = 80; 30.71°, I = 100; 31.46°, I = 30; 32.77°, I = 34; 34.08°, I = 95; 34.84°, I = 23; 36.14°, I = 52; 62.07°, I = 22

# 4
This entry pairs a crystal structure of Nd4Ag2Pb with its calculated PXRD pattern. Radiation: Cu Kα, 1.54184 Å. Structure: a PBE-relaxed structure.
No peak broadening, texture or thermal motion is included.

Crystal structure
Unit cell a=9.0086 b=9.0086 c=9.0086 alpha=34.48 beta=34.48 gamma=34.48
Atoms (fractional coordinates):
Nd 0.1137 0.1137 0.1137
Nd 0.3681 0.3681 0.3681
Nd 0.6319 0.6319 0.6319
Nd 0.8863 0.8863 0.8863
Ag 0.2434 0.2434 0.2434
Ag 0.7566 0.7566 0.7566
Pb 0.5000 0.5000 0.5000

Most intense lines, 2θ = 10–90°, low angle first:
10.45°, I = 12; 26.06°, I = 13; 31.34°, I = 23; 33.56°, I = 100; 34.26°, I = 81; 48.72°, I = 30; 60.01°, I = 19; 60.46°, I = 31; 65.26°, I = 14; 80.82°, I = 14

# 5
This entry pairs a crystal structure of Nd3AgPd2 with its calculated PXRD pattern. Radiation: Cu Kα, 1.54184 Å. Structure: a PBE-relaxed structure.
No peak broadening, texture or thermal motion is included.

Crystal structure
Unit cell a=7.8398 b=7.8398 c=7.8398 alpha=58.82 beta=58.82 gamma=58.82
Atoms (fractional coordinates):
Nd 0.0418 0.7500 0.4582
Nd 0.2500 0.5418 0.9582
Nd 0.4582 0.0418 0.7500
Nd 0.5418 0.9582 0.2500
Nd 0.7500 0.4582 0.0418
Nd 0.9582 0.2500 0.5418
Ag 0.0000 0.0000 0.0000
Ag 0.5000 0.5000 0.5000
Pd 0.1462 0.1462 0.1462
Pd 0.3538 0.3538 0.3538
Pd 0.6462 0.6462 0.6462
Pd 0.8538 0.8538 0.8538

Most intense lines, 2θ = 10–90°, low angle first:
26.96°, I = 100; 35.93°, I = 11; 36.31°, I = 81; 39.59°, I = 12; 40.59°, I = 62; 48.45°, I = 20; 49.40°, I = 11; 55.58°, I = 21; 71.06°, I = 14; 72.34°, I = 11

# 6
This entry pairs a crystal structure of Nd2AgPd4 with its calculated PXRD pattern. Radiation: Cu Kα, 1.54184 Å. Structure: a PBE-relaxed structure.
No peak broadening, texture or thermal motion is included.

Crystal structure
Unit cell a=5.2487 b=5.2815 c=7.1546 alpha=70.35 beta=81.49 gamma=62.25
Atoms (fractional coordinates):
Nd 0.0005 0.1477 0.2213
Nd 0.9995 0.8523 0.7787
Ag 0.5000 0.5000 0.5000
Pd 0.0000 0.5000 0.5000
Pd 0.3177 0.1713 0.8443
Pd 0.5000 0.0000 0.5000
Pd 0.6823 0.8287 0.1557

Most intense lines, 2θ = 10–90°, low angle first:
13.14°, I = 56; 23.37°, I = 46; 32.68°, I = 72; 38.53°, I = 100; 38.82°, I = 85; 39.33°, I = 52; 40.03°, I = 39; 40.15°, I = 68; 40.28°, I = 47; 41.24°, I = 68